# GdCuSb2
Simulated powder XRD pattern, Cu Kα, 1.54184 Å. Input: a PBE-relaxed structure.
Peak positions follow from Bragg's law for the DFT cell and can differ from measured ones.

Cell lengths 4.3502, 4.3502, 9.8411 Å; angles 90.00, 90.00, 90.00 degrees
Element x y z (fractional)
Gd 0.2500 0.2500 0.2472
Gd 0.7500 0.7500 0.7528
Cu 0.2500 0.7500 0.0000
Cu 0.7500 0.2500 0.0000
Sb 0.2500 0.2500 0.8418
Sb 0.2500 0.7500 0.5000
Sb 0.7500 0.2500 0.5000
Sb 0.7500 0.7500 0.1582

Principal peaks in the range 2θ = 10–90°, in order of rising 2θ:
| two_theta | Rel. int. | (hkl) |
| --- | --- | --- |
| 27.36 | 130 | 1 0 2 |
| 30.45 | 128 | 1 1 1 |
| 34.24 | 197 | 1 0 3 |
| 34.38 | 1000 | 1 1 2 |
| 41.52 | 413 | 2 0 0 |
| 50.92 | 154 | 1 0 5 |
| 56.47 | 105 | 2 0 4 |
| 60.16 | 135 | 2 2 0 |
| 67.72 | 130 | 2 1 5 |
| 71.16 | 255 | 3 1 2 |